Theoretical X-ray diffraction stick pattern
Compound: DyHoB2Pd2C2
Radiation: Cu Kα
Structure: DFT lattice parameters and positions (GGA-PBE)
No peak broadening, texture or thermal motion is included.

Largest 6 diffraction maxima, in order of falling intensity, 2θ from 15° to 90°:
d [Å]	I_rel	h k l
2.509	100	1 1 1
3.376	79	1 0 1
2.696	64	1 0 2
2.189	56	1 1 2
2.585	51	0 0 3
1.875	44	2 0 0

```
DyHoB2Pd2C2
1.0
3.7500 0.0000 0.0000
0.0000 3.7500 0.0000
0.0000 0.0000 7.7550
Dy Ho B Pd C
1 1 2 2 2
Direct
0.0000 0.0000 0.0000 Dy
0.5000 0.5000 0.6821 Ho
0.0000 0.0000 0.5026 B
0.5000 0.5000 0.1784 B
0.0000 0.5000 0.3410 Pd
0.5000 0.0000 0.3410 Pd
0.0000 0.0000 0.6928 C
0.5000 0.5000 0.9880 C
```